No. 1
Theoretical PXRD pattern
Compound: Cs3In2HgI9
Radiation: a wavelength of 1.5418 Å
Structure: a DFT-relaxed cell (GGA-PBE, Alexandria)
Lines closer than 0.1° are merged.

Principal peaks in the range 5 to 70 degrees two-theta, in order of rising 2θ:
| d (Å) | 2θ/deg | I_rel |
| --- | --- | --- |
| 6.126 | 14.46 | 25 |
| 4.332 | 20.50 | 25 |
| 3.537 | 25.18 | 60 |
| 3.063 | 29.15 | 100 |
| 2.740 | 32.69 | 14 |
| 2.169 | 41.64 | 37 |
| 2.163 | 41.76 | 37 |
| 1.846 | 49.37 | 21 |
| 1.767 | 51.74 | 20 |
| 1.532 | 60.44 | 12 |
| 1.371 | 68.41 | 17 |
| 1.368 | 68.58 | 17 |

Crystal structure
Lattice parameters (Å, degrees): 8.652 8.652 10.640 90.00 90.00 120.00
Fractional coordinates of all 15 atoms:
1 Cs 0.000 0.000 0.000
2 Cs 0.333 0.667 0.664
3 Cs 0.667 0.333 0.336
4 In 0.333 0.667 0.172
5 In 0.667 0.333 0.828
6 Hg 0.000 0.000 0.500
7 I 0.000 0.500 0.000
8 I 0.168 0.336 0.327
9 I 0.168 0.832 0.327
10 I 0.336 0.168 0.673
11 I 0.500 0.000 0.000
12 I 0.500 0.500 0.000
13 I 0.664 0.832 0.327
14 I 0.832 0.168 0.673
15 I 0.832 0.664 0.673

=====

No. 2
Theoretical PXRD pattern
Compound: Na24In5O15
Radiation: a wavelength of 1.5418 Å
Structure: a DFT-relaxed cell (GGA-PBE, Alexandria)
Lines closer than 0.1° are merged.

Principal peaks in the range 5 to 70 degrees two-theta, in order of rising 2θ:
| d (Å) | 2θ/deg | I_rel |
| --- | --- | --- |
| 7.966 | 11.11 | 81 |
| 4.599 | 19.30 | 100 |
| 3.252 | 27.43 | 53 |
| 3.011 | 29.67 | 45 |
| 2.816 | 31.77 | 30 |
| 2.655 | 33.76 | 56 |
| 2.402 | 37.45 | 24 |
| 2.209 | 40.85 | 46 |
| 2.057 | 44.03 | 25 |
| 1.991 | 45.55 | 67 |
| 1.738 | 52.66 | 21 |
| 1.593 | 57.88 | 20 |

Crystal structure
Lattice parameters (Å, degrees): 9.756 9.756 9.756 109.47 109.47 109.47
Fractional coordinates of all 44 atoms:
1 Na 0.000 0.216 0.434
2 Na 0.000 0.434 0.216
3 Na 0.000 0.453 0.718
4 Na 0.000 0.718 0.453
5 Na 0.216 0.000 0.434
6 Na 0.216 0.434 0.000
7 Na 0.218 0.784 0.784
8 Na 0.265 0.547 0.547
9 Na 0.282 0.282 0.735
10 Na 0.282 0.735 0.282
11 Na 0.434 0.000 0.216
12 Na 0.434 0.216 0.000
13 Na 0.453 0.000 0.718
14 Na 0.453 0.718 0.000
15 Na 0.547 0.265 0.547
16 Na 0.547 0.547 0.265
17 Na 0.566 0.566 0.782
18 Na 0.566 0.782 0.566
19 Na 0.718 0.000 0.453
20 Na 0.718 0.453 0.000
21 Na 0.735 0.282 0.282
22 Na 0.782 0.566 0.566
23 Na 0.784 0.218 0.784
24 Na 0.784 0.784 0.218
25 In 0.000 0.000 0.000
26 In 0.000 0.000 0.712
27 In 0.000 0.712 0.000
28 In 0.288 0.288 0.288
29 In 0.712 0.000 0.000
30 O 0.000 0.214 0.692
31 O 0.000 0.500 0.500
32 O 0.000 0.692 0.214
33 O 0.214 0.000 0.692
34 O 0.214 0.692 0.000
35 O 0.308 0.308 0.522
36 O 0.308 0.522 0.308
37 O 0.478 0.786 0.786
38 O 0.500 0.000 0.500
39 O 0.500 0.500 0.000
40 O 0.522 0.308 0.308
41 O 0.692 0.000 0.214
42 O 0.692 0.214 0.000
43 O 0.786 0.478 0.786
44 O 0.786 0.786 0.478

=====

No. 3
Theoretical PXRD pattern
Compound: Cs2ZrCl4F2
Radiation: a wavelength of 1.5418 Å
Structure: a DFT-relaxed cell (GGA-PBE, Alexandria)
Lines closer than 0.1° are merged.

Principal peaks in the range 5 to 70 degrees two-theta, in order of rising 2θ:
| d (Å) | 2θ/deg | I_rel |
| --- | --- | --- |
| 4.683 | 18.95 | 51 |
| 4.121 | 21.57 | 100 |
| 3.749 | 23.73 | 22 |
| 3.516 | 25.33 | 63 |
| 2.927 | 30.54 | 94 |
| 2.794 | 32.04 | 33 |
| 2.479 | 36.24 | 22 |
| 2.466 | 36.43 | 20 |
| 2.270 | 39.70 | 18 |
| 1.986 | 45.68 | 18 |
| 1.758 | 52.01 | 21 |
| 1.745 | 52.44 | 18 |

Crystal structure
Lattice parameters (Å, degrees): 7.150 7.150 6.030 99.54 99.54 63.24
Fractional coordinates of all 9 atoms:
1 Cs 0.172 0.172 0.327
2 Cs 0.828 0.828 0.673
3 Zr 0.500 0.500 0.000
4 Cl 0.168 0.648 0.191
5 Cl 0.352 0.832 0.809
6 Cl 0.648 0.168 0.191
7 Cl 0.832 0.352 0.809
8 F 0.367 0.367 0.743
9 F 0.633 0.633 0.257

=====

No. 4
Theoretical PXRD pattern
Compound: Ba2YTlCu2O7
Radiation: a wavelength of 1.5418 Å
Structure: a DFT-relaxed cell (GGA-PBE, Alexandria)
Lines closer than 0.1° are merged.

Principal peaks in the range 5 to 70 degrees two-theta, in order of rising 2θ:
| d (Å) | 2θ/deg | I_rel |
| --- | --- | --- |
| 3.319 | 26.86 | 45 |
| 2.873 | 31.13 | 100 |
| 2.743 | 32.65 | 71 |
| 2.565 | 34.98 | 20 |
| 2.084 | 43.41 | 16 |
| 1.940 | 46.84 | 36 |
| 1.873 | 48.60 | 21 |
| 1.675 | 54.82 | 13 |
| 1.657 | 55.46 | 13 |
| 1.608 | 57.32 | 36 |
| 1.547 | 59.78 | 16 |
| 1.371 | 68.40 | 11 |

Crystal structure
Lattice parameters (Å, degrees): 3.879 3.879 12.826 90.00 90.00 90.00
Fractional coordinates of all 13 atoms:
1 Ba 0.000 0.000 0.207
2 Ba 0.000 0.000 0.793
3 Y 0.000 0.000 0.500
4 Tl 0.500 0.500 0.000
5 Cu 0.500 0.500 0.374
6 Cu 0.500 0.500 0.626
7 O 0.000 0.000 0.000
8 O 0.000 0.500 0.388
9 O 0.000 0.500 0.612
10 O 0.500 0.000 0.388
11 O 0.500 0.000 0.612
12 O 0.500 0.500 0.165
13 O 0.500 0.500 0.835

=====

No. 5
Theoretical PXRD pattern
Compound: Ni4PdW
Radiation: a wavelength of 1.5418 Å
Structure: a DFT-relaxed cell (GGA-PBE, Alexandria)
Lines closer than 0.1° are merged.

Principal peaks in the range 5 to 70 degrees two-theta, in order of rising 2θ:
| d (Å) | 2θ/deg | I_rel |
| --- | --- | --- |
| 3.831 | 23.22 | 13 |
| 3.318 | 26.87 | 4 |
| 2.346 | 38.37 | 59 |
| 2.001 | 45.33 | 100 |
| 1.915 | 47.47 | 18 |
| 1.522 | 60.86 | 3 |
| 1.484 | 62.61 | 2 |
| 1.354 | 69.39 | 21 |

Crystal structure
Lattice parameters (Å, degrees): 4.692 4.692 4.692 60.00 60.00 60.00
Fractional coordinates of all 6 atoms:
1 Ni 0.125 0.125 0.125
2 Ni 0.125 0.125 0.624
3 Ni 0.125 0.624 0.125
4 Ni 0.624 0.125 0.125
5 Pd 0.750 0.750 0.750
6 W 0.500 0.500 0.500

=====

No. 6
Theoretical PXRD pattern
Compound: LaCuAsBr
Radiation: a wavelength of 1.5418 Å
Structure: a DFT-relaxed cell (GGA-PBE, Alexandria)
Lines closer than 0.1° are merged.

Principal peaks in the range 5 to 70 degrees two-theta, in order of rising 2θ:
| d (Å) | 2θ/deg | I_rel |
| --- | --- | --- |
| 13.851 | 6.38 | 100 |
| 6.925 | 12.78 | 25 |
| 3.134 | 28.48 | 95 |
| 3.008 | 29.70 | 23 |
| 2.759 | 32.45 | 17 |
| 2.416 | 37.21 | 42 |
| 2.312 | 38.96 | 33 |
| 2.131 | 42.42 | 73 |
| 2.037 | 44.47 | 19 |
| 1.762 | 51.89 | 18 |
| 1.566 | 58.97 | 21 |
| 1.358 | 69.18 | 15 |

Crystal structure
Lattice parameters (Å, degrees): 14.067 14.067 14.067 17.42 17.42 17.42
Fractional coordinates of all 8 atoms:
1 La 0.077 0.077 0.077
2 La 0.923 0.923 0.923
3 Cu 0.310 0.310 0.310
4 Cu 0.690 0.690 0.690
5 As 0.371 0.371 0.371
6 As 0.629 0.629 0.629
7 Br 0.210 0.210 0.210
8 Br 0.790 0.790 0.790

=====

No. 7
Theoretical PXRD pattern
Compound: Cs2Li3PaBr12
Radiation: a wavelength of 1.5418 Å
Structure: a DFT-relaxed cell (GGA-PBE, Alexandria)
Lines closer than 0.1° are merged.

Principal peaks in the range 5 to 70 degrees two-theta, in order of rising 2θ:
| d (Å) | 2θ/deg | I_rel |
| --- | --- | --- |
| 12.531 | 7.05 | 26 |
| 6.678 | 13.26 | 33 |
| 5.688 | 15.58 | 30 |
| 5.179 | 17.12 | 74 |
| 3.918 | 22.69 | 25 |
| 3.335 | 26.73 | 100 |
| 3.227 | 27.65 | 27 |
| 2.844 | 31.46 | 80 |
| 2.495 | 36.00 | 25 |
| 2.193 | 41.16 | 15 |
| 2.062 | 43.90 | 41 |
| 1.754 | 52.15 | 16 |

Crystal structure
Lattice parameters (Å, degrees): 13.406 13.406 13.406 35.84 35.84 35.84
Fractional coordinates of all 18 atoms:
1 Cs 0.100 0.100 0.100
2 Cs 0.900 0.900 0.900
3 Li 0.000 0.500 0.500
4 Li 0.500 0.000 0.500
5 Li 0.500 0.500 0.000
6 Pa 0.500 0.500 0.500
7 Br 0.145 0.615 0.615
8 Br 0.154 0.154 0.596
9 Br 0.154 0.596 0.154
10 Br 0.385 0.385 0.855
11 Br 0.385 0.855 0.385
12 Br 0.404 0.846 0.846
13 Br 0.596 0.154 0.154
14 Br 0.615 0.145 0.615
15 Br 0.615 0.615 0.145
16 Br 0.846 0.404 0.846
17 Br 0.846 0.846 0.404
18 Br 0.855 0.385 0.385

=====

No. 8
Theoretical PXRD pattern
Compound: Ba2CdN
Radiation: a wavelength of 1.5418 Å
Structure: a DFT-relaxed cell (GGA-PBE, Alexandria)
Lines closer than 0.1° are merged.

Principal peaks in the range 5 to 70 degrees two-theta, in order of rising 2θ:
| d (Å) | 2θ/deg | I_rel |
| --- | --- | --- |
| 4.290 | 20.70 | 25 |
| 3.641 | 24.45 | 56 |
| 3.438 | 25.92 | 70 |
| 3.271 | 27.27 | 99 |
| 3.167 | 28.18 | 100 |
| 2.813 | 31.81 | 63 |
| 2.775 | 32.25 | 24 |
| 2.177 | 41.48 | 40 |
| 1.975 | 45.94 | 30 |
| 1.907 | 47.69 | 39 |
| 1.776 | 51.46 | 31 |
| 1.744 | 52.48 | 26 |

Crystal structure
Lattice parameters (Å, degrees): 7.704 7.704 7.704 137.17 83.51 112.32
Fractional coordinates of all 8 atoms:
1 Ba 0.093 0.250 0.343
2 Ba 0.134 0.584 0.050
3 Ba 0.534 0.084 0.950
4 Ba 0.907 0.750 0.657
5 Cd 0.521 0.328 0.693
6 Cd 0.634 0.828 0.307
7 N 0.171 0.794 0.877
8 N 0.918 0.294 0.123

=====

No. 9
Theoretical PXRD pattern
Compound: Pr2CrSe4
Radiation: a wavelength of 1.5418 Å
Structure: a DFT-relaxed cell (GGA-PBE, Alexandria)
Lines closer than 0.1° are merged.

Principal peaks in the range 5 to 70 degrees two-theta, in order of rising 2θ:
| d (Å) | 2θ/deg | I_rel |
| --- | --- | --- |
| 6.140 | 14.43 | 32 |
| 3.657 | 24.34 | 27 |
| 3.168 | 28.17 | 100 |
| 3.152 | 28.32 | 53 |
| 2.927 | 30.54 | 31 |
| 2.373 | 37.92 | 20 |
| 2.337 | 38.52 | 27 |
| 2.330 | 38.64 | 40 |
| 2.173 | 41.56 | 18 |
| 2.149 | 42.04 | 49 |
| 2.093 | 43.22 | 31 |
| 1.744 | 52.48 | 19 |

Crystal structure
Lattice parameters (Å, degrees): 7.383 7.383 7.517 118.53 118.53 32.94
Fractional coordinates of all 7 atoms:
1 Pr 0.215 0.215 0.208
2 Pr 0.785 0.785 0.792
3 Cr 0.500 0.500 0.500
4 Se 0.129 0.129 0.502
5 Se 0.395 0.395 0.104
6 Se 0.605 0.605 0.896
7 Se 0.871 0.871 0.498

=====

No. 10
Theoretical PXRD pattern
Compound: Y4PtRh
Radiation: a wavelength of 1.5418 Å
Structure: a DFT-relaxed cell (GGA-PBE, Alexandria)
Lines closer than 0.1° are merged.

Principal peaks in the range 5 to 70 degrees two-theta, in order of rising 2θ:
| d (Å) | 2θ/deg | I_rel |
| --- | --- | --- |
| 4.075 | 21.81 | 41 |
| 3.861 | 23.03 | 36 |
| 2.524 | 35.57 | 27 |
| 2.431 | 36.98 | 100 |
| 2.328 | 38.67 | 21 |
| 2.112 | 42.81 | 14 |
| 2.022 | 44.83 | 12 |
| 1.727 | 53.04 | 9 |
| 1.711 | 53.55 | 15 |
| 1.439 | 64.81 | 16 |
| 1.425 | 65.50 | 9 |
| 1.363 | 68.88 | 14 |

Crystal structure
Lattice parameters (Å, degrees): 8.330 8.330 6.867 112.28 112.28 112.01
Fractional coordinates of all 12 atoms:
1 Y 0.030 0.531 0.780
2 Y 0.248 0.249 0.779
3 Y 0.249 0.248 0.279
4 Y 0.469 0.970 0.720
5 Y 0.531 0.030 0.280
6 Y 0.751 0.752 0.721
7 Y 0.752 0.751 0.221
8 Y 0.970 0.469 0.220
9 Pt 0.375 0.625 0.250
10 Pt 0.625 0.375 0.750
11 Rh 0.125 0.875 0.750
12 Rh 0.875 0.125 0.250